This entry pairs a crystal structure of SrAu2Cl8 with its theoretical powder diffraction line list. Radiation: Cu Kα, 1.54184 Å. Structure: a GGA-PBE-relaxed structure.

Crystal structure
Cell lengths 7.096, 7.096, 12.608 Å; angles 90.00, 90.00, 90.00 degrees
Space group I422 (No. 97)
One atom of each set of equivalent atoms:
Sr (0.000, 0.000, 0.000)
Au (0.000, 0.500, 0.250)
Cl (0.164, 0.331, 0.621)

Top 10 peaks for 10 to 90 degrees two-theta, sorted by position:
2θ = 14.0°, d = 6.304 Å, I 26, hkl 0 0 2; 2θ = 17.7°, d = 5.018 Å, I 57, hkl 1 1 0; 2θ = 22.6°, d = 3.926 Å, I 100, hkl 1 1 2; 2θ = 25.1°, d = 3.548 Å, I 19, hkl 2 0 0; 2θ = 28.9°, d = 3.092 Å, I 24, hkl 2 0 2; 2θ = 35.8°, d = 2.509 Å, I 21, hkl 2 2 0; 2θ = 38.2°, d = 2.356 Å, I 45, hkl 2 0 4; 2θ = 42.8°, d = 2.114 Å, I 41, hkl 3 1 2; 2θ = 46.9°, d = 1.938 Å, I 16, hkl 1 1 6; 2θ = 49.9°, d = 1.828 Å, I 21, hkl 3 1 4


This entry pairs a crystal structure of SrAuCl with its theoretical powder diffraction line list. Radiation: Cu Kα, 1.54184 Å. Structure: a GGA-PBE-relaxed structure.

Crystal structure
Cell lengths 4.617, 5.420, 7.650 Å; angles 90.00, 90.00, 90.00 degrees
Space group Amm2 (No. 38)
One atom of each set of equivalent atoms:
Sr (0.000, 0.000, 0.000)
Au (0.500, 0.000, 0.717)
Cl (0.000, 0.000, 0.373)

Top 10 peaks for 10 to 90 degrees two-theta, sorted by position:
2θ = 20.1°, d = 4.423 Å, I 51, hkl 0 1 1; 2θ = 27.9°, d = 3.194 Å, I 100, hkl 1 1 1; 2θ = 30.3°, d = 2.946 Å, I 59, hkl 1 0 2; 2θ = 33.1°, d = 2.710 Å, I 29, hkl 0 2 0; 2θ = 39.0°, d = 2.308 Å, I 49, hkl 2 0 0; 2θ = 44.3°, d = 2.046 Å, I 15, hkl 2 1 1; 2θ = 45.5°, d = 1.994 Å, I 39, hkl 1 2 2; 2θ = 52.0°, d = 1.758 Å, I 20, hkl 2 2 0; 2θ = 56.4°, d = 1.632 Å, I 21, hkl 2 1 3; 2θ = 66.7°, d = 1.403 Å, I 15, hkl 1 1 5


This entry pairs a crystal structure of TeAuCl7 with its theoretical powder diffraction line list. Radiation: Cu Kα, 1.54184 Å. Structure: a GGA-PBE-relaxed structure.

Crystal structure
Cell lengths 7.979, 8.825, 9.254 Å; angles 80.76, 82.39, 89.01 degrees
Space group P-1 (No. 2)
One atom of each set of equivalent atoms:
Te (0.217, 0.259, 0.272)
Au (0.419, 0.685, 0.072)
Cl (0.052, 0.666, 0.626)
Cl (0.124, 0.011, 0.255)
Cl (0.137, 0.633, 0.069)
Cl (0.296, 0.268, 0.926)
Cl (0.309, 0.181, 0.503)
Cl (0.399, 0.544, 0.308)
Cl (0.438, 0.825, 0.835)

Top 10 peaks for 10 to 90 degrees two-theta, sorted by position:
2θ = 11.2°, d = 7.908 Å, I 28, hkl 1 0 0; 2θ = 13.9°, d = 6.387 Å, I 100, hkl 1 0 1; 2θ = 19.7°, d = 4.508 Å, I 20, hkl 1 1 -1; 2θ = 20.4°, d = 4.355 Å, I 30, hkl 0 2 0; 2θ = 23.4°, d = 3.797 Å, I 20, hkl 1 2 1; 2θ = 23.5°, d = 3.778 Å, I 20, hkl 0 1 -2; 2θ = 24.7°, d = 3.599 Å, I 21, hkl -1 1 2; 2θ = 27.1°, d = 3.289 Å, I 21, hkl -2 1 1; 2θ = 32.9°, d = 2.721 Å, I 24, hkl 0 1 -3; 2θ = 35.6°, d = 2.523 Å, I 27, hkl 3 -1 0


This entry pairs a crystal structure of TlAu2Cl6 with its theoretical powder diffraction line list. Radiation: Cu Kα, 1.54184 Å. Structure: a GGA-PBE-relaxed structure.

Crystal structure
Cell lengths 12.617, 11.947, 7.753 Å; angles 90.00, 101.69, 90.00 degrees
Space group C2/c (No. 15)
One atom of each set of equivalent atoms:
Tl (0.000, 0.097, 0.250)
Au (0.222, 0.456, 0.195)
Cl (0.104, 0.088, 0.632)
Cl (0.107, 0.496, 0.435)
Cl (0.148, 0.214, 0.187)

Top 10 peaks for 10 to 90 degrees two-theta, sorted by position:
2θ = 14.8°, d = 5.973 Å, I 100, hkl 0 2 0; 2θ = 16.6°, d = 5.328 Å, I 29, hkl 1 1 1; 2θ = 22.3°, d = 3.986 Å, I 64, hkl 2 2 -1; 2θ = 22.8°, d = 3.894 Å, I 45, hkl 3 1 0; 2θ = 23.4°, d = 3.795 Å, I 59, hkl 0 0 2; 2θ = 24.3°, d = 3.668 Å, I 33, hkl 1 1 -2; 2θ = 25.2°, d = 3.531 Å, I 26, hkl 2 2 1; 2θ = 33.5°, d = 2.676 Å, I 27, hkl 4 0 -2; 2θ = 34.4°, d = 2.607 Å, I 46, hkl 2 4 -1; 2θ = 36.1°, d = 2.490 Å, I 42, hkl 3 1 2


This entry pairs a crystal structure of TlAuCl3 with its theoretical powder diffraction line list. Radiation: Cu Kα, 1.54184 Å. Structure: a GGA-PBE-relaxed structure.

Crystal structure
Cell lengths 6.775, 6.889, 7.840 Å; angles 89.17, 89.02, 61.92 degrees
Space group P-1 (No. 2)
One atom of each set of equivalent atoms:
Tl (0.183, 0.143, 0.234)
Au (0.500, 0.500, 0.000)
Au (0.500, 0.500, 0.500)
Cl (0.145, 0.724, 0.394)
Cl (0.319, 0.852, 0.890)
Cl (0.373, 0.266, 0.616)

Top 10 peaks for 10 to 90 degrees two-theta, sorted by position:
2θ = 18.6°, d = 4.783 Å, I 46, hkl 0 1 -1; 2θ = 18.8°, d = 4.730 Å, I 40, hkl 1 0 -1; 2θ = 25.3°, d = 3.514 Å, I 51, hkl 1 -1 0; 2θ = 25.9°, d = 3.441 Å, I 50, hkl 1 2 0; 2θ = 26.3°, d = 3.386 Å, I 49, hkl 2 1 0; 2θ = 27.0°, d = 3.302 Å, I 100, hkl 0 1 2; 2θ = 27.1°, d = 3.285 Å, I 42, hkl 1 1 2; 2θ = 27.6°, d = 3.230 Å, I 29, hkl 1 1 -2; 2θ = 37.6°, d = 2.392 Å, I 37, hkl 2 0 2; 2θ = 46.5°, d = 1.953 Å, I 28, hkl 3 3 0


This entry pairs a crystal structure of TlAuCl2 with its theoretical powder diffraction line list. Radiation: Cu Kα, 1.54184 Å. Structure: a GGA-PBE-relaxed structure.

Crystal structure
Cell lengths 5.0880, 5.0880, 14.8423 Å; angles 90.00, 90.00, 120.00 degrees
Space group P6_3/mmc (No. 194)
One atom of each set of equivalent atoms:
Tl (0.0000, 0.0000, 0.0000)
Au (0.3333, 0.6667, 0.2500)
Cl (0.3333, 0.6667, 0.0957)

Top 10 peaks for 10 to 90 degrees two-theta, sorted by position:
2θ = 21.0°, d = 4.224 Å, I 70, hkl 1 0 1; 2θ = 23.5°, d = 3.789 Å, I 100, hkl 1 0 2; 2θ = 24.0°, d = 3.711 Å, I 23, hkl 0 0 4; 2θ = 35.3°, d = 2.544 Å, I 49, hkl 1 1 0; 2θ = 41.9°, d = 2.157 Å, I 30, hkl 1 0 6; 2θ = 42.8°, d = 2.112 Å, I 21, hkl 2 0 2; 2θ = 43.1°, d = 2.098 Å, I 31, hkl 1 1 4; 2θ = 56.6°, d = 1.625 Å, I 19, hkl 2 1 2; 2θ = 61.9°, d = 1.499 Å, I 15, hkl 1 1 8; 2θ = 67.8°, d = 1.382 Å, I 14, hkl 2 1 6